[1]
This entry pairs a crystal structure of Sm3Dy2Ho4 with its computed powder XRD pattern. Radiation: Cu Kα, 1.54184 Å. Structure: a DFT-relaxed cell (PBE, Alexandria).
Intensities are scaled so that the largest is 100.

Top 10 peaks for 10° ≤ 2θ ≤ 80°, sorted by position:
| 2θ (°) | d_spacing | I/Imax |
| --- | --- | --- |
| 28.35 | 3.148 | 16 |
| 30.48 | 2.933 | 61 |
| 30.58 | 2.924 | 61 |
| 30.92 | 2.892 | 48 |
| 31.83 | 2.811 | 100 |
| 37.78 | 2.381 | 62 |
| 49.60 | 1.838 | 23 |
| 50.73 | 1.800 | 14 |
| 55.57 | 1.654 | 15 |
| 55.94 | 1.644 | 30 |

Lattice parameters (Å, degrees): 16.5107 11.5685 6.0571 90.00 96.71 90.00
Space group C2/c (No. 15)
Symmetry-distinct sites (fractional):
Sm1 0.0000 0.1506 0.2500
Sm2 0.1662 0.3488 0.0836
Dy1 0.1045 0.1119 0.7860
Ho1 0.0623 0.3888 0.5457
Ho2 0.2298 0.1113 0.3784

[2]
This entry pairs a crystal structure of Nd2Ho2Pt3 with its computed powder XRD pattern. Radiation: Cu Kα, 1.54184 Å. Structure: a DFT-relaxed cell (PBE, Alexandria).
Intensities are scaled so that the largest is 100.

Top 10 peaks for 10° ≤ 2θ ≤ 80°, sorted by position:
| 2θ (°) | d_spacing | I/Imax |
| --- | --- | --- |
| 31.94 | 2.802 | 100 |
| 38.00 | 2.368 | 54 |
| 45.80 | 1.981 | 16 |
| 48.17 | 1.889 | 13 |
| 50.46 | 1.809 | 11 |
| 52.67 | 1.738 | 25 |
| 64.87 | 1.437 | 26 |
| 66.77 | 1.401 | 10 |
| 68.64 | 1.367 | 11 |
| 79.49 | 1.206 | 20 |

Lattice parameters (Å, degrees): 8.8608 8.8608 8.8608 90.00 90.00 90.00
Space group I2_13 (No. 199)
Symmetry-distinct sites (fractional):
Nd1 0.0635 0.0635 0.0635
Ho1 0.1886 0.3114 0.6886
Pt1 0.0000 0.2500 0.3865

[3]
This entry pairs a crystal structure of Ta2NiPd6 with its computed powder XRD pattern. Radiation: Cu Kα, 1.54184 Å. Structure: a DFT-relaxed cell (PBE, Alexandria).
Intensities are scaled so that the largest is 100.

Top 10 peaks for 10° ≤ 2θ ≤ 80°, sorted by position:
| 2θ (°) | d_spacing | I/Imax |
| --- | --- | --- |
| 21.25 | 4.182 | 3 |
| 23.79 | 3.740 | 3 |
| 25.11 | 3.546 | 4 |
| 27.32 | 3.265 | 3 |
| 33.90 | 2.645 | 2 |
| 39.69 | 2.271 | 100 |
| 46.05 | 1.971 | 32 |
| 46.38 | 1.958 | 16 |
| 67.16 | 1.394 | 10 |
| 67.42 | 1.389 | 20 |

Lattice parameters (Å, degrees): 8.3631 8.3631 3.9158 90.00 90.00 90.00
Space group P4_2/mnm (No. 136)
Symmetry-distinct sites (fractional):
Ta1 0.1666 0.1666 0.0000
Ni1 0.0000 0.0000 0.5000
Pd1 0.0023 0.3244 0.5000
Pd2 0.1590 0.8410 0.0000

[4]
This entry pairs a crystal structure of PmNd2Sc4 with its computed powder XRD pattern. Radiation: Cu Kα, 1.54184 Å. Structure: a DFT-relaxed cell (PBE, Alexandria).
Intensities are scaled so that the largest is 100.

Top 10 peaks for 10° ≤ 2θ ≤ 80°, sorted by position:
| 2θ (°) | d_spacing | I/Imax |
| --- | --- | --- |
| 21.94 | 4.052 | 54 |
| 28.32 | 3.152 | 50 |
| 31.22 | 2.865 | 74 |
| 32.09 | 2.790 | 100 |
| 35.80 | 2.508 | 27 |
| 36.10 | 2.488 | 32 |
| 45.38 | 1.999 | 53 |
| 50.36 | 1.812 | 24 |
| 56.11 | 1.639 | 31 |
| 65.62 | 1.423 | 29 |

Lattice parameters (Å, degrees): 6.3872 11.4585 11.4607 90.00 90.00 90.00
Space group Fmmm (No. 69)
Symmetry-distinct sites (fractional):
Pm1 0.0000 0.0000 0.0000
Nd1 0.2500 0.2500 0.2500
Sc1 0.0000 0.0000 0.3079
Sc2 0.0000 0.1930 0.5000

[5]
This entry pairs a crystal structure of Se4BrCl with its computed powder XRD pattern. Radiation: Cu Kα, 1.54184 Å. Structure: a DFT-relaxed cell (PBE, Alexandria).
Intensities are scaled so that the largest is 100.

Top 10 peaks for 10° ≤ 2θ ≤ 80°, sorted by position:
| 2θ (°) | d_spacing | I/Imax |
| --- | --- | --- |
| 15.83 | 5.600 | 19 |
| 25.47 | 3.497 | 100 |
| 32.51 | 2.754 | 98 |
| 40.64 | 2.220 | 46 |
| 42.83 | 2.111 | 48 |
| 43.06 | 2.101 | 17 |
| 50.03 | 1.823 | 17 |
| 52.32 | 1.749 | 12 |
| 56.96 | 1.617 | 20 |
| 64.59 | 1.443 | 14 |

Lattice parameters (Å, degrees): 5.6910 3.6464 7.8962 90.00 100.27 90.00
Space group P2/m (No. 10)
Symmetry-distinct sites (fractional):
Se1 0.1076 0.0000 0.3224
Se2 0.1393 0.5000 0.8264
Br1 0.5000 0.5000 0.5000
Cl1 0.5000 0.0000 0.0000

[6]
This entry pairs a crystal structure of AcNi4Sn with its computed powder XRD pattern. Radiation: Cu Kα, 1.54184 Å. Structure: a DFT-relaxed cell (PBE, Alexandria).
Intensities are scaled so that the largest is 100.

Top 10 peaks for 10° ≤ 2θ ≤ 80°, sorted by position:
| 2θ (°) | d_spacing | I/Imax |
| --- | --- | --- |
| 26.06 | 3.419 | 24 |
| 29.23 | 3.055 | 21 |
| 30.97 | 2.887 | 91 |
| 34.98 | 2.565 | 35 |
| 37.17 | 2.419 | 100 |
| 38.04 | 2.365 | 20 |
| 44.35 | 2.043 | 97 |
| 44.43 | 2.039 | 40 |
| 64.57 | 1.443 | 39 |
| 78.17 | 1.223 | 17 |

Lattice parameters (Å, degrees): 4.0778 16.4999 6.1106 90.00 90.00 90.00
Space group Cmcm (No. 63)
Symmetry-distinct sites (fractional):
Ac1 0.0000 0.0962 0.2500
Ni1 0.0000 0.0785 0.7500
Ni2 0.0000 0.3477 0.0617
Ni3 0.0000 0.5000 0.0000
Sn1 0.0000 0.2343 0.7500

[7]
This entry pairs a crystal structure of Pr4InPb3 with its computed powder XRD pattern. Radiation: Cu Kα, 1.54184 Å. Structure: a DFT-relaxed cell (PBE, Alexandria).
Intensities are scaled so that the largest is 100.

Top 10 peaks for 10° ≤ 2θ ≤ 80°, sorted by position:
| 2θ (°) | d_spacing | I/Imax |
| --- | --- | --- |
| 28.23 | 3.161 | 100 |
| 29.70 | 3.008 | 35 |
| 35.38 | 2.537 | 89 |
| 35.86 | 2.504 | 19 |
| 37.86 | 2.376 | 29 |
| 39.88 | 2.261 | 25 |
| 48.84 | 1.865 | 18 |
| 50.50 | 1.807 | 16 |
| 56.16 | 1.638 | 18 |
| 65.41 | 1.427 | 16 |

Lattice parameters (Å, degrees): 4.5213 4.7524 12.0317 90.00 90.00 90.00
Space group Pmm2 (No. 25)
Symmetry-distinct sites (fractional):
Pr1 0.0000 0.0000 0.0000
Pr2 0.0000 0.5000 0.4964
Pr3 0.5000 0.0000 0.7284
Pr4 0.5000 0.5000 0.2283
In1 0.0000 0.0000 0.2756
Pb1 0.0000 0.5000 0.7678
Pb2 0.5000 0.0000 0.4497
Pb3 0.5000 0.5000 0.9567

[8]
This entry pairs a crystal structure of Pm3EuTc with its computed powder XRD pattern. Radiation: Cu Kα, 1.54184 Å. Structure: a DFT-relaxed cell (PBE, Alexandria).
Intensities are scaled so that the largest is 100.

Top 10 peaks for 10° ≤ 2θ ≤ 80°, sorted by position:
| 2θ (°) | d_spacing | I/Imax |
| --- | --- | --- |
| 15.94 | 5.560 | 11 |
| 22.62 | 3.931 | 12 |
| 27.79 | 3.210 | 98 |
| 32.20 | 2.780 | 100 |
| 46.18 | 1.966 | 73 |
| 54.76 | 1.676 | 45 |
| 57.42 | 1.605 | 25 |
| 67.37 | 1.390 | 12 |
| 74.37 | 1.275 | 18 |
| 76.65 | 1.243 | 33 |

Lattice parameters (Å, degrees): 5.5596 5.5596 5.5596 90.00 90.00 90.00
Space group Pm-3m (No. 221)
Symmetry-distinct sites (fractional):
Pm1 0.0000 0.0000 0.5000
Eu1 0.5000 0.5000 0.5000
Tc1 0.0000 0.0000 0.0000

[9]
This entry pairs a crystal structure of Nd3Al4Cu with its computed powder XRD pattern. Radiation: Cu Kα, 1.54184 Å. Structure: a DFT-relaxed cell (PBE, Alexandria).
Intensities are scaled so that the largest is 100.

Top 10 peaks for 10° ≤ 2θ ≤ 80°, sorted by position:
| 2θ (°) | d_spacing | I/Imax |
| --- | --- | --- |
| 21.54 | 4.125 | 77 |
| 21.76 | 4.084 | 78 |
| 26.87 | 3.318 | 100 |
| 31.44 | 2.846 | 73 |
| 32.05 | 2.793 | 70 |
| 33.83 | 2.650 | 46 |
| 33.97 | 2.639 | 43 |
| 38.56 | 2.335 | 93 |
| 38.95 | 2.313 | 66 |
| 45.50 | 1.993 | 37 |

Lattice parameters (Å, degrees): 5.6914 11.1700 5.9884 90.00 90.00 90.00
Space group Pmmn (No. 59, origin choice 2)
Symmetry-distinct sites (fractional):
Nd1 0.2500 0.0038 0.1793
Nd2 0.2500 0.7500 0.5545
Al1 0.0067 0.7500 0.0349
Al2 0.2500 0.1156 0.6652
Cu1 0.2500 0.2500 0.3207